This entry pairs a crystal structure of VNiPbF6 with its computed powder XRD pattern. Radiation: Cu Kα X-rays. Structure: DFT lattice parameters and positions (PBE+U).
Intensities are scaled so that the largest is 100.

Peak list (10 most intense, 10 to 90 degrees two-theta, by intensity)
d [Å]  I/Imax
3.523  100
1.897  34
2.740  26
2.163  25
1.698  25
4.746  24
1.582  12
2.300  11
1.644  11
2.430  10

Crystal structure
```
data_VNiPbF6
_cell_length_a 5.4806
_cell_length_b 5.4806
_cell_length_c 10.5156
_cell_angle_alpha 90.00
_cell_angle_beta 90.00
_cell_angle_gamma 120.00
_space_group_name_H-M_alt 'P -3 1 c'
_space_group_IT_number 163
_space_group_name_Hall '-P 3 2c'
loop_
_atom_site_label
_atom_site_fract_x
_atom_site_fract_y
_atom_site_fract_z
V1 0.3333 0.6667 0.2500
Ni1 0.3333 0.6667 0.7500
Pb1 0.0000 0.0000 0.0000
F1 0.0118 0.3680 0.6436
```